The following is a theoretical PXRD pattern of LaCdGeAu2. It was derived from the PBE geometry in OQMD, using λ = 1.5418 Å (Cu Kα).
No peak broadening, texture or thermal motion is included.

Largest 6 diffraction maxima, low angle first, 10° ≤ 2θ ≤ 90°:
(hkl)  2theta  I (rel.)
1 0 3  29.8  76
1 1 2  32.8  100
1 1 4  41.4  54
1 0 5  41.7  84
2 0 0  42.2  78
2 1 5  60.8  56

Atomic structure:
Cell: 4.2876 4.2876 12.5542 Å, 90.00 90.00 90.00°
Space group I-4m2 (No. 119)
Unique sites:
1 La 0.0000 0.0000 0.0000
2 Cd 0.0000 0.5000 0.2500
3 Ge 0.0000 0.5000 0.7500
4 Au 0.0000 0.0000 0.3919

=====

The following is a theoretical PXRD pattern of Hf2CdAu. It was derived from the PBE geometry in OQMD, using λ = 1.5418 Å (Cu Kα).
No peak broadening, texture or thermal motion is included.

Largest 6 diffraction maxima, low angle first, 10° ≤ 2θ ≤ 90°:
(hkl)  2theta  I (rel.)
1 1 0  36.5  54
1 0 2  37.3  100
2 0 0  52.7  19
2 1 2  66.3  37
1 1 4  67.8  17
2 0 4  79.5  11

Atomic structure:
Cell: 3.4768 3.4768 6.6911 Å, 90.00 90.00 90.00°
Space group P4mm (No. 99)
Unique sites:
1 Hf 0.0000 0.0000 0.0000
2 Hf 0.5000 0.5000 0.2720
3 Cd 0.5000 0.5000 0.7413
4 Au 0.0000 0.0000 0.5032

=====

The following is a theoretical PXRD pattern of TbHoCd2Au4. It was derived from the PBE geometry in OQMD, using λ = 1.5418 Å (Cu Kα).
No peak broadening, texture or thermal motion is included.

Largest 6 diffraction maxima, low angle first, 10° ≤ 2θ ≤ 90°:
(hkl)  2theta  I (rel.)
1 1 0  25.5  4
2 0 0  36.4  100
2 2 0  52.5  18
3 1 2  65.6  36
4 0 0  77.4  11
4 2 0  88.7  17

Atomic structure:
Cell: 4.9315 4.9315 6.9736 Å, 90.00 90.00 90.00°
Space group P4/mmm (No. 123)
Unique sites:
1 Tb 0.0000 0.0000 0.0000
2 Ho 0.5000 0.5000 0.5000
3 Cd 0.0000 0.0000 0.5000
4 Cd 0.5000 0.5000 0.0000
5 Au 0.0000 0.5000 0.2504

=====

The following is a theoretical PXRD pattern of Pr3Cd2InPd2Au. It was derived from the PBE geometry in OQMD, using λ = 1.5418 Å (Cu Kα).
No peak broadening, texture or thermal motion is included.

Largest 6 diffraction maxima, low angle first, 10° ≤ 2θ ≤ 90°:
(hkl)  2theta  I (rel.)
1 0 2  31.6  76
1 4 0  34.3  100
0 4 2  35.1  24
0 3 3  40.0  26
1 4 2  41.5  23
2 0 0  43.9  25

Atomic structure:
Cell: 4.1207 13.5624 7.7960 Å, 90.00 90.00 90.00°
Space group Amm2 (No. 38)
Unique sites:
1 Pr 0.0000 0.0000 0.0000
2 Pr 0.0000 0.2050 0.3880
3 Cd 0.5000 0.1298 0.7202
4 In 0.5000 0.0000 0.3359
5 Pd 0.5000 0.1644 0.0950
6 Au 0.0000 0.0000 0.5908

=====

The following is a theoretical PXRD pattern of Sm3Cd3InAu2. It was derived from the PBE geometry in OQMD, using λ = 1.5418 Å (Cu Kα).
No peak broadening, texture or thermal motion is included.

Largest 6 diffraction maxima, low angle first, 10° ≤ 2θ ≤ 90°:
(hkl)  2theta  I (rel.)
1 1 1  31.8  100
2 1 0  34.2  41
2 0 1  34.3  99
3 0 0  38.9  56
2 1 1  41.3  30
3 2 1  62.9  35

Atomic structure:
Cell: 8.0147 8.0147 3.9625 Å, 90.00 90.00 120.00°
Space group P-62m (No. 189)
Unique sites:
1 Sm 0.0000 0.4115 0.0000
2 Cd 0.0000 0.7308 0.5000
3 In 0.0000 0.0000 0.0000
4 Au 0.3333 0.6667 0.5000

=====

The following is a theoretical PXRD pattern of Tm3Cd3InAu2. It was derived from the PBE geometry in OQMD, using λ = 1.5418 Å (Cu Kα).
No peak broadening, texture or thermal motion is included.

Largest 6 diffraction maxima, low angle first, 10° ≤ 2θ ≤ 90°:
(hkl)  2theta  I (rel.)
1 1 1  32.9  100
2 1 0  34.4  35
2 0 1  35.5  82
3 0 0  39.2  62
3 2 1  64.0  33
3 0 2  64.4  28

Atomic structure:
Cell: 7.9608 7.9608 3.7229 Å, 90.00 90.00 120.00°
Space group P-62m (No. 189)
Unique sites:
1 Tm 0.0000 0.5958 0.0000
2 Cd 0.0000 0.2785 0.5000
3 In 0.0000 0.0000 0.0000
4 Au 0.3333 0.6667 0.5000